Entry 1:
The following is a theoretical XRD peak list of Ca2Pr2MnNiO8. It was derived from a GGA+U-relaxed structure, using Cu Kα.

a b c (Å): 12.0242 5.3788 5.5739
angles (deg): 90.00 90.39 90.00
Space group Cm (No. 8)
Inequivalent atoms, fractional coordinates:
Ca (0.0000, 0.0000, 0.0000) (multiplicity 2)
Ca (0.2110, 0.0000, 0.5121) (multiplicity 2)
Pr (0.2176, 0.5000, 0.0448) (multiplicity 2)
Pr (0.4939, 0.0000, 0.5371) (multiplicity 2)
Mn (0.3546, 0.0000, 0.0252) (multiplicity 2)
Ni (0.3570, 0.5000, 0.5260) (multiplicity 2)
O (0.0227, 0.5000, 0.9759) (multiplicity 2)
O (0.0288, 0.0000, 0.5843) (multiplicity 2)
O (0.1813, 0.5000, 0.4682) (multiplicity 2)
O (0.1920, 0.0000, 0.0786) (multiplicity 2)
O (0.3385, 0.2437, 0.7818) (multiplicity 4)
O (0.3730, 0.2487, 0.2624) (multiplicity 4)

Top 10 peaks for 2θ from 10° to 90°, sorted by position:
2θ 18.07, intensity 34.2, hkl 1 1 0; 2θ 21.67, intensity 21.0, hkl 2 0 -1; 2θ 21.82, intensity 20.9, hkl 2 0 1; 2θ 32.09, intensity 100.0, hkl 0 0 2; 2θ 32.23, intensity 54.3, hkl 3 1 1; 2θ 33.31, intensity 42.6, hkl 0 2 0; 2θ 40.13, intensity 19.2, hkl 2 2 -1; 2θ 44.46, intensity 19.2, hkl 4 0 2; 2θ 45.25, intensity 26.9, hkl 6 0 0; 2θ 46.95, intensity 45.9, hkl 0 2 2

=====

Entry 2:
The following is a theoretical XRD peak list of CaMn2O4. It was derived from a GGA+U-relaxed structure, using Cu Kα.

a b c (Å): 3.1982 10.1896 9.8310
angles (deg): 90.00 90.00 90.00
Space group Pbcm (No. 57)
Inequivalent atoms, fractional coordinates:
Ca (0.1826, 0.1485, 0.2500) (multiplicity 4)
Mn (0.2924, 0.6117, 0.5692) (multiplicity 8)
O (0.0949, 0.2500, 0.0000) (multiplicity 4)
O (0.2968, 0.5269, 0.1087) (multiplicity 8)
O (0.3113, 0.6880, 0.7500) (multiplicity 4)

Top 10 peaks for 2θ from 10° to 90°, sorted by position:
2θ 29.27, intensity 20.8, hkl 1 1 0; 2θ 30.68, intensity 28.2, hkl 1 1 1; 2θ 32.49, intensity 100.0, hkl 0 2 3; 2θ 34.60, intensity 30.3, hkl 1 1 2; 2θ 35.23, intensity 24.4, hkl 0 4 0; 2θ 38.67, intensity 37.5, hkl 1 3 0; 2θ 39.78, intensity 58.1, hkl 1 3 1; 2θ 42.98, intensity 45.8, hkl 1 3 2; 2θ 55.61, intensity 25.9, hkl 1 1 5; 2θ 60.86, intensity 28.1, hkl 1 5 3

=====

Entry 3:
The following is a theoretical XRD peak list of CaMn2O4. It was derived from a GGA+U-relaxed structure, using Cu Kα.

a b c (Å): 10.9340 5.6614 11.7552
angles (deg): 90.00 90.37 90.00
Space group C2/c (No. 15)
Inequivalent atoms, fractional coordinates:
Ca (0.0000, 0.0324, 0.2500) (multiplicity 4)
Ca (0.2500, 0.2500, 0.0000) (multiplicity 4)
Mn (0.0286, 0.2539, 0.5211) (multiplicity 8)
Mn (0.2230, 0.4984, 0.2675) (multiplicity 8)
O (0.0882, 0.0094, 0.9297) (multiplicity 8)
O (0.0930, 0.4938, 0.9266) (multiplicity 8)
O (0.1532, 0.2388, 0.6783) (multiplicity 8)
O (0.1637, 0.2405, 0.1781) (multiplicity 8)

Top 10 peaks for 2θ from 10° to 90°, sorted by position:
2θ 22.14, intensity 90.6, hkl 2 0 -2; 2θ 22.28, intensity 83.8, hkl 2 0 2; 2θ 30.14, intensity 64.2, hkl 3 1 1; 2θ 30.42, intensity 100.0, hkl 0 0 4; 2θ 35.19, intensity 98.7, hkl 0 2 2; 2θ 38.97, intensity 38.4, hkl 2 2 2; 2θ 45.15, intensity 37.8, hkl 4 0 -4; 2θ 48.77, intensity 71.8, hkl 4 2 -2; 2θ 48.92, intensity 81.1, hkl 4 2 2; 2θ 57.18, intensity 63.9, hkl 0 2 6

=====

Question: Which formula does entry 3 have?
Answer: CaMn2O4